AlGa6Ag12: calculated powder X-ray diffraction pattern (copper Kα), based on a crystal structure in Alexandria, relaxed with PBE.
Neutral-atom scattering factors, no anomalous dispersion.

Top 10 peaks for 2θ from 5° to 70°, most intense first:
| 2θ (°) | I_rel |
| --- | --- |
| 40.6 | 100 |
| 41.0 | 79 |
| 34.5 | 58 |
| 43.9 | 52 |
| 40.0 | 43 |
| 38.0 | 39 |
| 33.3 | 32 |
| 26.2 | 27 |
| 67.1 | 26 |
| 41.1 | 20 |

Atomic structure:
Unit cell a=7.383 b=7.383 c=7.383 alpha=105.61 beta=105.61 gamma=105.61
Atoms (fractional coordinates):
Al 0.000 0.000 0.000
Ga 0.256 0.680 0.387
Ga 0.320 0.613 0.744
Ga 0.387 0.256 0.680
Ga 0.613 0.744 0.320
Ga 0.680 0.387 0.256
Ga 0.744 0.320 0.613
Ag 0.001 0.134 0.681
Ag 0.086 0.301 0.381
Ag 0.134 0.681 0.001
Ag 0.301 0.381 0.086
Ag 0.319 0.999 0.866
Ag 0.381 0.086 0.301
Ag 0.619 0.914 0.699
Ag 0.681 0.001 0.134
Ag 0.699 0.619 0.914
Ag 0.866 0.319 0.999
Ag 0.914 0.699 0.619
Ag 0.999 0.866 0.319

LiCa3Pb4: calculated powder X-ray diffraction pattern (copper Kα), based on a crystal structure in Alexandria, relaxed with PBE.
Neutral-atom scattering factors, no anomalous dispersion.

Top 10 peaks for 2θ from 5° to 70°, most intense first:
| 2θ (°) | I_rel |
| --- | --- |
| 32.5 | 100 |
| 24.0 | 67 |
| 34.2 | 54 |
| 60.1 | 35 |
| 21.5 | 33 |
| 40.8 | 29 |
| 49.2 | 20 |
| 55.4 | 15 |
| 52.2 | 15 |
| 29.0 | 14 |

Atomic structure:
Unit cell a=3.707 b=3.707 c=16.514 alpha=90.00 beta=90.00 gamma=90.00
Atoms (fractional coordinates):
Li 0.000 0.000 0.000
Ca 0.000 0.000 0.233
Ca 0.000 0.000 0.500
Ca 0.000 0.000 0.767
Pb 0.500 0.500 0.100
Pb 0.500 0.500 0.365
Pb 0.500 0.500 0.635
Pb 0.500 0.500 0.900